Entry 1:
Fe3NiBr9: simulated X-ray diffraction stick pattern (a wavelength of 1.5418 Å), based on a cell relaxed with PBE.
Kinematic intensities with the Lorentz-polarization factor, no thermal factor.

Crystal structure
abc: 10.876 10.876 13.792
angles: 127.98 127.98 49.58
Element x y z (fractional)
Fe: 0.029 0.971 0.500
Fe: 0.137 0.328 0.566
Fe: 0.328 0.137 0.066
Fe: 0.536 0.751 0.791
Fe: 0.751 0.536 0.291
Fe: 0.971 0.029 0.000
Ni: 0.061 0.557 0.910
Ni: 0.557 0.061 0.410
Br: 0.062 0.716 0.323
Br: 0.072 0.825 0.082
Br: 0.111 0.366 0.981
Br: 0.203 0.934 0.944
Br: 0.250 0.421 0.801
Br: 0.309 0.960 0.677
Br: 0.366 0.111 0.481
Br: 0.421 0.250 0.301
Br: 0.476 0.545 0.738
Br: 0.545 0.476 0.238
Br: 0.598 0.952 0.023
Br: 0.615 0.779 0.238
Br: 0.716 0.062 0.823
Br: 0.779 0.615 0.738
Br: 0.825 0.072 0.582
Br: 0.934 0.203 0.444
Br: 0.952 0.598 0.523
Br: 0.960 0.309 0.177

The 10 most intense peaks (15° ≤ 2θ ≤ 90°), sorted by position:
2θ 17.08, d 5.192, I = 82
2θ 24.22, d 3.674, I = 30
2θ 25.19, d 3.535, I = 22
2θ 27.05, d 3.296, I = 18
2θ 27.52, d 3.241, I = 39
2θ 28.12, d 3.173, I = 33
2θ 28.36, d 3.147, I = 100
2θ 30.06, d 2.973, I = 18
2θ 49.18, d 1.853, I = 19
2θ 50.43, d 1.809, I = 17

***

Entry 2:
FeNiBr2: simulated X-ray diffraction stick pattern (a wavelength of 1.5418 Å), based on a cell relaxed with PBE.
Kinematic intensities with the Lorentz-polarization factor, no thermal factor.

Crystal structure
abc: 3.696 3.589 7.035
angles: 90.00 92.83 90.00
Element x y z (fractional)
Fe: 0.000 0.000 0.000
Ni: 0.537 0.500 0.938
Br: 0.383 0.000 0.723
Br: 0.861 0.500 0.239

The 10 most intense peaks (15° ≤ 2θ ≤ 90°), sorted by position:
2θ 26.72, d 3.336, I = 61
2θ 27.89, d 3.199, I = 100
2θ 34.86, d 2.573, I = 29
2θ 36.78, d 2.444, I = 24
2θ 37.64, d 2.390, I = 20
2θ 42.84, d 2.111, I = 49
2θ 44.34, d 2.043, I = 57
2θ 46.29, d 1.961, I = 38
2θ 50.88, d 1.795, I = 22
2θ 52.07, d 1.757, I = 15

***

Entry 3:
Fe2SiNiBr: simulated X-ray diffraction stick pattern (a wavelength of 1.5418 Å), based on a cell relaxed with PBE.
Kinematic intensities with the Lorentz-polarization factor, no thermal factor.

Crystal structure
abc: 4.448 4.448 4.299
angles: 90.00 90.00 90.00
Element x y z (fractional)
Fe: 0.000 0.500 0.000
Fe: 0.500 0.000 0.000
Si: 0.000 0.000 0.000
Ni: 0.000 0.000 0.500
Br: 0.500 0.500 0.500

The 10 most intense peaks (15° ≤ 2θ ≤ 90°), sorted by position:
2θ 28.38, d 3.145, I = 5
2θ 28.88, d 3.091, I = 6
2θ 35.36, d 2.538, I = 100
2θ 40.57, d 2.224, I = 52
2θ 42.04, d 2.149, I = 23
2θ 58.72, d 1.572, I = 16
2θ 59.84, d 1.546, I = 31
2θ 70.44, d 1.337, I = 24
2θ 72.48, d 1.304, I = 11
2θ 74.81, d 1.269, I = 15